Diffraction record for LiSmW2O8. The powder XRD pattern is computed, not measured: it uses DFT lattice parameters and positions (GGA+U) and Cu Kα (weighted mean of Kα1 and Kα2).

Crystal structure
Cell: 7.186 7.419 7.479 Å, 113.82 115.55 91.66°
Space group P-1 (No. 2)
One atom of each set of equivalent atoms:
1 Li 0.247 0.324 0.490 x2
2 Sm 0.316 0.712 0.038 x2
3 W 0.149 0.106 0.789 x2
4 W 0.239 0.707 0.469 x2
5 O 0.019 0.172 0.492 x2
6 O 0.051 0.460 0.247 x2
7 O 0.115 0.827 0.237 x2
8 O 0.209 0.007 0.986 x2
9 O 0.316 0.636 0.695 x2
10 O 0.323 0.365 0.942 x2
11 O 0.366 0.012 0.702 x2
12 O 0.458 0.694 0.404 x2

Principal peaks in the range 10° ≤ 2θ ≤ 90°, low angle first:
hkl, d/Å, 2θ/deg, I (rel.)
0 1 -1, 6.027, 14.70, 66
1 1 -1, 5.060, 17.53, 58
1 1 0, 4.070, 21.84, 77
1 -2 0, 3.263, 27.34, 55
2 0 0, 3.142, 28.40, 61
0 2 -2, 3.014, 29.64, 100